[1]
SrCu2P2S7: calculated PXRD pattern (copper Kα), based on a DFT-relaxed cell (PBE, Alexandria).
Neutral-atom scattering factors, no anomalous dispersion.

Largest 8 diffraction maxima, sorted by position, 2θ = 5–70°:
2theta, I (rel.)
9.1, 30
18.3, 64
20.4, 100
28.4, 68
29.6, 30
35.2, 35
50.3, 41
64.2, 29

Structural model:
```
SrCu2P2S7
1.0
3.1424 1.8142 9.6726
-3.1424 1.8142 9.6726
0.0000 -3.6285 9.6726
Sr Cu P S
1 2 2 7
direct
0.0000 0.0000 0.0000
0.2537 0.2537 0.2537
0.7463 0.7463 0.7463
0.4260 0.4260 0.4260
0.5740 0.5740 0.5740
0.0980 0.3971 0.7270
0.2730 0.6029 0.9020
0.3971 0.7270 0.0980
0.5000 0.5000 0.5000
0.6029 0.9020 0.2730
0.7270 0.0980 0.3971
0.9020 0.2730 0.6029
```

[2]
TlCuPS4: calculated PXRD pattern (copper Kα), based on a DFT-relaxed cell (PBE, Alexandria).
Neutral-atom scattering factors, no anomalous dispersion.

Largest 8 diffraction maxima, sorted by position, 2θ = 5–70°:
2theta, I (rel.)
20.5, 100
20.8, 47
26.5, 40
27.5, 55
32.0, 74
34.7, 56
35.5, 37
41.6, 39

Structural model:
```
TlCuPS4
1.0
6.0224 0.0000 0.0000
0.0000 6.4897 0.0000
-2.1804 0.0000 8.5415
Tl Cu P S
2 2 2 8
direct
0.2277 0.2500 0.0510
0.7723 0.7500 0.9490
0.1375 0.2500 0.5108
0.8625 0.7500 0.4892
0.2237 0.7500 0.3093
0.7763 0.2500 0.6907
0.0135 0.0127 0.6856
0.0135 0.4873 0.6856
0.3147 0.7500 0.1040
0.4833 0.7500 0.5065
0.5167 0.2500 0.4935
0.6853 0.2500 0.8960
0.9865 0.5127 0.3144
0.9865 0.9873 0.3144
```

[3]
CuSb3P2: calculated PXRD pattern (copper Kα), based on a DFT-relaxed cell (PBE, Alexandria).
Neutral-atom scattering factors, no anomalous dispersion.

Largest 8 diffraction maxima, sorted by position, 2θ = 5–70°:
2theta, I (rel.)
25.7, 26
29.1, 47
30.8, 63
35.3, 100
37.9, 32
39.3, 38
48.7, 36
52.7, 33

Structural model:
```
CuSb3P2
1.0
3.7389 0.0000 0.0000
0.0000 3.7389 0.0000
0.0000 0.0000 9.2133
Cu Sb P
1 3 2
direct
0.0000 0.0000 0.0000
0.0000 0.5000 0.3722
0.5000 0.0000 0.6278
0.5000 0.5000 0.0000
0.0000 0.5000 0.7406
0.5000 0.0000 0.2594
```

[4]
Cu2PSe3: calculated PXRD pattern (copper Kα), based on a DFT-relaxed cell (PBE, Alexandria).
Neutral-atom scattering factors, no anomalous dispersion.

Largest 8 diffraction maxima, sorted by position, 2θ = 5–70°:
2theta, I (rel.)
26.9, 89
29.0, 100
42.1, 30
47.3, 81
47.6, 20
51.9, 38
55.6, 23
57.4, 17

Structural model:
```
Cu2PSe3
1.0
4.2941 0.0000 0.0000
0.0000 11.4588 0.0000
0.0000 0.0000 5.1972
Cu P Se
4 2 6
direct
0.0000 0.1646 0.0000
0.0000 0.8354 0.0000
0.5000 0.3354 0.5000
0.5000 0.6646 0.5000
0.0000 0.5000 0.9905
0.5000 0.0000 0.4905
0.0000 0.0000 0.7035
0.0000 0.3381 0.7307
0.0000 0.6619 0.7307
0.5000 0.1619 0.2307
0.5000 0.5000 0.2035
0.5000 0.8381 0.2307
```

[5]
Cu7PSe6: calculated PXRD pattern (copper Kα), based on a DFT-relaxed cell (PBE, Alexandria).
Neutral-atom scattering factors, no anomalous dispersion.

Largest 8 diffraction maxima, sorted by position, 2θ = 5–70°:
2theta, I (rel.)
29.0, 48
29.2, 31
30.3, 100
30.4, 92
38.5, 28
46.2, 57
46.2, 36
50.7, 88

Structural model:
```
Cu7PSe6
1.0
14.4891 0.0000 0.0000
0.0000 7.2014 0.0000
0.0000 0.0000 10.1403
Cu P Se
28 4 24
direct
0.0444 0.0679 0.0398
0.0568 0.4465 0.3736
0.1174 0.7032 0.2212
0.1507 0.0260 0.3163
0.2123 0.7227 0.7023
0.2333 0.4124 0.0000
0.2329 0.5453 0.4601
0.2671 0.0453 0.9601
0.2667 0.9124 0.5000
0.2877 0.2227 0.2023
0.3493 0.5260 0.8163
0.3826 0.2032 0.7212
0.4432 0.9465 0.8736
0.4556 0.5679 0.5398
0.5444 0.4321 0.0398
0.5568 0.0535 0.3736
0.6174 0.7968 0.2212
0.6507 0.4740 0.3163
0.7123 0.7773 0.7023
0.7333 0.0876 0.0000
0.7329 0.9547 0.4601
0.7671 0.4547 0.9601
0.7667 0.5876 0.5000
0.7877 0.2773 0.2023
0.8493 0.9740 0.8163
0.8826 0.2968 0.7212
0.9432 0.5535 0.8736
0.9556 0.9321 0.5398
0.1274 0.2480 0.7046
0.3726 0.7480 0.2046
0.6274 0.2520 0.7046
0.8726 0.7520 0.2046
0.0068 0.2494 0.5645
0.1097 0.7690 0.4575
0.1199 0.5071 0.8293
0.1229 0.2847 0.1818
0.1295 0.9929 0.8303
0.2468 0.7471 0.0755
0.2532 0.2471 0.5755
0.3705 0.4929 0.3303
0.3771 0.7847 0.6818
0.3801 0.0071 0.3293
0.3903 0.2690 0.9575
0.4932 0.7494 0.0645
0.5068 0.2506 0.5645
0.6097 0.7310 0.4575
0.6199 0.9929 0.8293
0.6229 0.2153 0.1818
0.6295 0.5071 0.8303
0.7468 0.7529 0.0755
0.7532 0.2529 0.5755
0.8705 0.0071 0.3303
0.8771 0.7153 0.6818
0.8801 0.4929 0.3293
0.8903 0.2310 0.9575
0.9932 0.7506 0.0645
```

[6]
Cu3PSe3: calculated PXRD pattern (copper Kα), based on a DFT-relaxed cell (PBE, Alexandria).
Neutral-atom scattering factors, no anomalous dispersion.

Largest 8 diffraction maxima, sorted by position, 2θ = 5–70°:
2theta, I (rel.)
23.8, 100
31.6, 73
34.2, 48
43.7, 69
48.6, 53
49.7, 50
50.9, 53
53.1, 50

Structural model:
```
Cu3PSe3
1.0
8.0295 0.0000 0.0000
0.0000 10.3662 0.0000
0.0000 0.0000 6.7473
Cu P Se
12 4 12
direct
0.1121 0.0435 0.2413
0.1121 0.4565 0.2413
0.2150 0.2500 0.0695
0.2850 0.7500 0.5695
0.3879 0.5435 0.7413
0.3879 0.9565 0.7413
0.6121 0.0435 0.2587
0.6121 0.4565 0.2587
0.7150 0.2500 0.4305
0.7850 0.7500 0.9305
0.8879 0.5435 0.7587
0.8879 0.9565 0.7587
0.2151 0.2500 0.6284
0.2849 0.7500 0.1284
0.7151 0.2500 0.8716
0.7849 0.7500 0.3716
0.0208 0.2500 0.3713
0.1451 0.0724 0.8318
0.1451 0.4276 0.8318
0.3549 0.5724 0.3318
0.3549 0.9276 0.3318
0.4792 0.7500 0.8713
0.5208 0.2500 0.1287
0.6451 0.0724 0.6682
0.6451 0.4276 0.6682
0.8549 0.5724 0.1682
0.8549 0.9276 0.1682
0.9792 0.7500 0.6287
```